Theoretical powder XRD pattern
Compound: MgSc4Fe4O12
Radiation: a wavelength of 1.5418 Å
Structure: a structure optimized by DFT (PBE+U)

Main lines, low angle first (2θ from 15° to 90°):
(1 1 0), 4.195 Å, intensity 23
(1 1 2), 3.007 Å, intensity 62
(0 2 0), 2.773 Å, intensity 46
(2 0 0), 2.732 Å, intensity 69
(1 1 -2), 2.699 Å, intensity 100
(1 -1 2), 2.610 Å, intensity 45
(-1 2 1), 2.282 Å, intensity 36
(0 0 4), 1.932 Å, intensity 30
(1 1 4), 1.831 Å, intensity 25
(0 2 -4), 1.519 Å, intensity 34

Atomic structure:
a b c (Å): 5.5278 5.6296 7.7753
angles (deg): 84.09 86.57 81.69
Space group P1 (No. 1)
Asymmetric unit:
Mg (0.0000, 0.0000, 0.0000) (multiplicity 1)
Sc (0.0867, 0.2020, 0.6215) (multiplicity 1)
Sc (0.1968, 0.3653, 0.1417) (multiplicity 1)
Sc (0.5615, 0.7972, 0.1304) (multiplicity 1)
Sc (0.5806, 0.8304, 0.6422) (multiplicity 1)
Fe (0.0735, 0.7423, 0.3630) (multiplicity 1)
Fe (0.0812, 0.6442, 0.8032) (multiplicity 1)
Fe (0.5732, 0.3117, 0.8289) (multiplicity 1)
Fe (0.6557, 0.2432, 0.3526) (multiplicity 1)
O (0.2072, 0.2589, 0.8815) (multiplicity 1)
O (0.2196, 0.8308, 0.5891) (multiplicity 1)
O (0.2211, 0.9945, 0.1937) (multiplicity 1)
O (0.4190, 0.5210, 0.2800) (multiplicity 1)
O (0.4298, 0.6630, 0.9084) (multiplicity 1)
O (0.4610, 0.2234, 0.5868) (multiplicity 1)
O (0.6599, 0.1695, 0.0805) (multiplicity 1)
O (0.7108, 0.8863, 0.3873) (multiplicity 1)
O (0.8080, 0.5006, 0.6944) (multiplicity 1)
O (0.8231, 0.0075, 0.7752) (multiplicity 1)
O (0.9328, 0.6584, 0.0728) (multiplicity 1)
O (0.9678, 0.3478, 0.3792) (multiplicity 1)